1.
For Li3Mn, a structure optimized by DFT (GGA-PBE) gives the theoretical X-ray powder pattern in this record (Cu Kα, 1.54184 Å).
Peak positions follow from Bragg's law for the DFT cell and can differ from measured ones.

Top 12 peaks for 15 to 90 degrees two-theta, low angle first:
2θ/deg	intensity	(hkl)
18.6	58	0 2 0
19.8	100	0 1 1
33.2	26	0 3 1
33.6	25	1 1 0
35.3	13	0 0 2
36.9	25	1 0 1
37.7	18	0 4 0
40.2	27	0 2 2
41.6	45	1 2 1
43.3	12	1 3 0
49.5	16	1 1 2
53.8	15	1 4 1

Structural model:
```
data_Li3Mn
_chemical_formula_sum 'Li6 Mn2'
_cell_length_a 2.7781
_cell_length_b 9.5331
_cell_length_c 5.0920
_cell_angle_alpha 90.00
_cell_angle_beta 90.00
_cell_angle_gamma 90.00
_symmetry_space_group_name_H-M 'I m m 2'
_symmetry_Int_Tables_number 44
loop_
_symmetry_equiv_pos_as_xyz
'x,y,z'
'-x,-y,z'
'-x,y,z'
'x,-y,z'
'x+1/2,y+1/2,z+1/2'
'-x+1/2,-y+1/2,z+1/2'
'-x+1/2,y+1/2,z+1/2'
'x+1/2,-y+1/2,z+1/2'
loop_
_atom_site_label
_atom_site_type_symbol
_atom_site_fract_x
_atom_site_fract_y
_atom_site_fract_z
Li1 Li 0.0000 0.0000 0.0000
Li2 Li 0.0000 0.2472 0.3166
Mn1 Mn 0.0000 0.5000 0.0026
```

2.
For CaSm4Ru2, a structure optimized by DFT (GGA-PBE) gives the theoretical X-ray powder pattern in this record (Cu Kα, 1.54184 Å).
Peak positions follow from Bragg's law for the DFT cell and can differ from measured ones.

Top 12 peaks for 15 to 90 degrees two-theta, low angle first:
2θ/deg	intensity	(hkl)
27.9	22	2 0 -2
29.6	37	3 1 -1
29.8	63	1 3 1
31.0	100	1 5 -1
33.0	22	0 0 2
33.6	50	3 3 -1
34.8	59	0 2 2
37.3	24	1 5 1
40.9	27	2 6 0
41.3	29	4 2 -2
45.8	26	3 3 -3
47.0	36	4 0 0

Structural model:
```
data_CaSm4Ru2
_chemical_formula_sum 'Ca4 Sm16 Ru8'
_cell_length_a 9.2493
_cell_length_b 16.1502
_cell_length_c 6.5053
_cell_angle_alpha 90.00
_cell_angle_beta 123.33
_cell_angle_gamma 90.00
_symmetry_space_group_name_H-M 'C 1 c 1'
_symmetry_Int_Tables_number 9
loop_
_symmetry_equiv_pos_as_xyz
'x,y,z'
'x,-y,z+1/2'
'x+1/2,y+1/2,z'
'x+1/2,-y+1/2,z+1/2'
loop_
_atom_site_label
_atom_site_type_symbol
_atom_site_fract_x
_atom_site_fract_y
_atom_site_fract_z
Ca1 Ca 0.0000 0.1432 0.0000
Sm1 Sm 0.0206 0.3578 0.0095
Sm2 Sm 0.0990 0.2578 0.5584
Sm3 Sm 0.3077 0.0647 0.8904
Sm4 Sm 0.3273 0.4337 0.8611
Ru1 Ru 0.0705 0.4891 0.3566
Ru2 Ru 0.2976 0.2496 0.0482
```

3.
For K4TlCd2, a structure optimized by DFT (GGA-PBE) gives the theoretical X-ray powder pattern in this record (Cu Kα, 1.54184 Å).
Peak positions follow from Bragg's law for the DFT cell and can differ from measured ones.

Top 12 peaks for 15 to 90 degrees two-theta, low angle first:
2θ/deg	intensity	(hkl)
16.8	85	0 0 2
16.9	100	1 0 -1
24.0	36	2 1 1
26.4	33	1 0 3
26.7	64	2 0 0
30.4	49	2 1 3
30.7	71	1 0 -3
31.6	34	0 2 -2
33.1	44	1 -2 1
33.4	72	1 3 2
34.5	29	2 3 1
37.5	32	3 1 2

Structural model:
```
data_K4TlCd2
_chemical_formula_sum 'K8 Tl2 Cd4'
_cell_length_a 7.4294
_cell_length_b 8.3208
_cell_length_c 11.1226
_cell_angle_alpha 75.10
_cell_angle_beta 74.97
_cell_angle_gamma 65.77
_symmetry_space_group_name_H-M 'P -1'
_symmetry_Int_Tables_number 2
loop_
_symmetry_equiv_pos_as_xyz
'x,y,z'
'-x,-y,-z'
loop_
_atom_site_label
_atom_site_type_symbol
_atom_site_fract_x
_atom_site_fract_y
_atom_site_fract_z
K1 K 0.0077 0.2726 0.2071
K2 K 0.0364 0.7669 0.1414
K3 K 0.4687 0.7357 0.3534
K4 K 0.4911 0.2298 0.2894
Tl1 Tl 0.1001 0.1038 0.5446
Cd1 Cd 0.0000 0.5000 0.5000
Cd2 Cd 0.4136 0.3906 0.9635
Cd3 Cd 0.5000 0.0000 0.0000
```